Simulated powder XRD pattern of Nd2Sm3Al3 for Cu Ka, from the GGA-PBE geometry in Alexandria.
No peak broadening, texture or thermal motion is included.

The 10 most intense peaks (5° ≤ 2θ ≤ 70°), by angle:
Position (°2θ), d (Å), I (rel.)
23.90, 3.724, 25
26.24, 3.397, 41
32.17, 2.783, 19
33.35, 2.686, 100
34.13, 2.627, 27
43.74, 2.070, 17
47.61, 1.910, 12
56.50, 1.629, 13
56.62, 1.626, 15
60.61, 1.528, 18

```
Nd2Sm3Al3
1.0
3.778 0.000 0.000
0.000 5.254 0.000
0.000 0.000 22.260
Nd Sm Al
4 6 6
direct
0.000 0.000 0.228
0.000 0.000 0.772
0.500 0.500 0.272
0.500 0.500 0.728
0.000 0.000 0.000
0.000 0.500 0.117
0.000 0.500 0.883
0.500 0.000 0.383
0.500 0.000 0.617
0.500 0.500 0.500
0.000 0.000 0.500
0.000 0.500 0.385
0.000 0.500 0.615
0.500 0.000 0.115
0.500 0.000 0.885
0.500 0.500 0.000
```